For LiPuNiO5, a DFT-relaxed cell (PBE+U, Alexandria) gives the theoretical powder diffractogram in this record (a wavelength of 1.5418 Å).

Peak list (6 most intense, 2θ from 10° to 90°, in order of rising 2θ)
hkl  two_theta  intensity
1 1 -1  17.44  100
1 1 1  23.91  76
2 0 -2  26.94  40
0 2 2  33.72  23
2 2 0  33.96  23
1 3 -1  36.54  43

Atomic structure:
abc: 7.796 7.949 7.894
angles: 90.00 115.06 90.00
Space group C2/c (No. 15)
Asymmetric unit:
1 Li 0.000 0.091 0.250 [4 per cell]
2 Pu 0.250 0.250 0.000 [4 per cell]
3 Ni 0.000 0.453 0.250 [4 per cell]
4 O 0.000 0.302 0.750 [4 per cell]
5 O 0.103 0.273 0.149 [8 per cell]
6 O 0.222 0.010 0.992 [8 per cell]